(1)
Structure and theoretical powder XRD pattern of MgZr2H10S6O28 (a DFT-relaxed cell (PBE, the Materials Project); CuKα).

The 6 most intense peaks (2θ from 10° to 90°), most intense first:
| Position (°2θ) | d_spacing | I/Imax | (hkl) |
| --- | --- | --- | --- |
| 23.6 | 3.767 | 100 | 1 1 2 |
| 24.3 | 3.669 | 82 | -1 1 2 |
| 12.1 | 7.317 | 62 | 0 1 1 |
| 24.6 | 3.622 | 61 | 0 2 -2 |
| 13.9 | 6.354 | 28 | 0 0 2 |
| 21.7 | 4.097 | 23 | 1 0 2 |

Structure:
```
data_MgZr2H10S6O28
_cell_length_a 5.325
_cell_length_b 8.887
_cell_length_c 12.710
_cell_angle_alpha 89.38
_cell_angle_beta 89.49
_cell_angle_gamma 88.11
_space_group_name_H-M_alt 'P 1'
_space_group_IT_number 1
_space_group_name_Hall 'P 1'
loop_
_atom_site_label
_atom_site_type_symbol
_atom_site_fract_x
_atom_site_fract_y
_atom_site_fract_z
_atom_site_occupancy
Mg1 Mg 0.000 0.000 0.000 1
Zr1 Zr 0.540 0.522 0.102 1
Zr2 Zr 0.995 0.312 0.456 1
H1 H 0.027 0.915 0.201 1
H2 H 0.076 0.589 0.790 1
H3 H 0.159 0.762 0.797 1
H4 H 0.234 0.666 0.684 1
H5 H 0.324 0.172 0.829 1
H6 H 0.325 0.090 0.713 1
H7 H 0.427 0.847 0.366 1
H8 H 0.480 0.257 0.734 1
H9 H 0.624 0.794 0.446 1
H10 H 0.784 0.017 0.185 1
S1 S 0.039 0.618 0.268 1
S2 S 0.042 0.362 0.951 1
S3 S 0.492 0.478 0.598 1
S4 S 0.493 0.803 0.979 1
S5 S 0.500 0.219 0.280 1
S6 S 0.989 0.035 0.571 1
O1 O 0.045 0.428 0.846 1
O2 O 0.046 0.777 0.289 1
O3 O 0.098 0.686 0.749 1
O4 O 0.109 0.196 0.944 1
O5 O 0.131 0.080 0.470 1
O6 O 0.168 0.997 0.657 1
O7 O 0.231 0.432 0.020 1
O8 O 0.249 0.270 0.319 1
O9 O 0.249 0.855 0.929 1
O10 O 0.285 0.560 0.223 1
O11 O 0.298 0.390 0.538 1
O12 O 0.403 0.636 0.606 1
O13 O 0.434 0.152 0.767 1
O14 O 0.448 0.777 0.094 1
O15 O 0.509 0.063 0.247 1
O16 O 0.522 0.410 0.703 1
O17 O 0.528 0.759 0.387 1
O18 O 0.573 0.315 0.187 1
O19 O 0.579 0.651 0.940 1
O20 O 0.678 0.918 0.956 1
O21 O 0.689 0.245 0.364 1
O22 O 0.729 0.470 0.535 1
O23 O 0.792 0.378 0.003 1
O24 O 0.814 0.918 0.556 1
O25 O 0.851 0.591 0.180 1
O26 O 0.858 0.190 0.593 1
O27 O 0.952 0.993 0.152 1
O28 O 0.974 0.525 0.359 1
```

***

(2)
Structure and theoretical powder XRD pattern of MgZr2H10S6O28 (a DFT-relaxed cell (PBE, the Materials Project); CuKα).

The 6 most intense peaks (2θ from 10° to 90°), most intense first:
| Position (°2θ) | d_spacing | I/Imax | (hkl) |
| --- | --- | --- | --- |
| 23.5 | 3.785 | 100 | 1 -1 2 |
| 24.6 | 3.618 | 77 | 1 1 -2 |
| 10.2 | 8.694 | 74 | 0 1 0 |
| 25.3 | 3.518 | 58 | 0 2 2 |
| 12.0 | 7.405 | 54 | 0 1 -1 |
| 13.7 | 6.464 | 41 | 0 0 2 |

Structure:
```
data_MgZr2H10S6O28
_cell_length_a 5.169
_cell_length_b 8.756
_cell_length_c 12.950
_cell_angle_alpha 93.02
_cell_angle_beta 91.08
_cell_angle_gamma 96.07
_space_group_name_H-M_alt 'P 1'
_space_group_IT_number 1
_space_group_name_Hall 'P 1'
loop_
_atom_site_label
_atom_site_type_symbol
_atom_site_fract_x
_atom_site_fract_y
_atom_site_fract_z
_atom_site_occupancy
Mg1 Mg 0.000 0.000 0.000 1
Zr1 Zr 0.115 0.416 0.967 1
Zr2 Zr 0.656 0.175 0.618 1
H1 H 0.014 0.655 0.624 1
H2 H 0.150 0.106 0.339 1
H3 H 0.213 0.727 0.706 1
H4 H 0.287 0.013 0.244 1
H5 H 0.298 0.938 0.360 1
H6 H 0.460 0.515 0.381 1
H7 H 0.480 0.598 0.267 1
H8 H 0.542 0.826 0.973 1
H9 H 0.582 0.427 0.276 1
H10 H 0.685 0.825 0.870 1
S1 S 0.154 0.685 0.104 1
S2 S 0.160 0.086 0.799 1
S3 S 0.167 0.332 0.477 1
S4 S 0.548 0.218 0.105 1
S5 S 0.612 0.502 0.797 1
S6 S 0.626 0.884 0.509 1
O1 O 0.002 0.816 0.092 1
O2 O 0.102 0.261 0.373 1
O3 O 0.104 0.181 0.898 1
O4 O 0.130 0.929 0.832 1
O5 O 0.131 0.628 0.678 1
O6 O 0.189 0.998 0.308 1
O7 O 0.297 0.654 0.003 1
O8 O 0.298 0.487 0.472 1
O9 O 0.332 0.709 0.193 1
O10 O 0.346 0.232 0.532 1
O11 O 0.352 0.449 0.842 1
O12 O 0.368 0.074 0.085 1
O13 O 0.423 0.137 0.764 1
O14 O 0.427 0.348 0.056 1
O15 O 0.437 0.846 0.423 1
O16 O 0.488 0.940 0.607 1
O17 O 0.569 0.530 0.313 1
O18 O 0.592 0.254 0.215 1
O19 O 0.638 0.664 0.784 1
O20 O 0.647 0.406 0.704 1
O21 O 0.668 0.890 0.934 1
O22 O 0.783 0.762 0.528 1
O23 O 0.791 0.038 0.492 1
O24 O 0.804 0.203 0.051 1
O25 O 0.807 0.463 0.880 1
O26 O 0.932 0.333 0.542 1
O27 O 0.965 0.117 0.719 1
O28 O 0.977 0.534 0.106 1
```

***

(3)
Structure and theoretical powder XRD pattern of MgZr2H10S6O28 (a DFT-relaxed cell (PBE, the Materials Project); CuKα).

The 6 most intense peaks (2θ from 10° to 90°), most intense first:
| Position (°2θ) | d_spacing | I/Imax | (hkl) |
| --- | --- | --- | --- |
| 23.2 | 3.830 | 100 | 1 -1 2 |
| 11.1 | 7.948 | 83 | 0 1 -1 |
| 24.1 | 3.699 | 78 | 1 1 -2 |
| 23.9 | 3.725 | 53 | 0 2 2 |
| 34.6 | 2.595 | 29 | -1 1 4 |
| 14.0 | 6.336 | 24 | 0 0 2 |

Structure:
```
data_MgZr2H10S6O28
_cell_length_a 5.198
_cell_length_b 9.714
_cell_length_c 12.700
_cell_angle_alpha 93.83
_cell_angle_beta 90.09
_cell_angle_gamma 94.09
_space_group_name_H-M_alt 'P 1'
_space_group_IT_number 1
_space_group_name_Hall 'P 1'
loop_
_atom_site_label
_atom_site_type_symbol
_atom_site_fract_x
_atom_site_fract_y
_atom_site_fract_z
_atom_site_occupancy
Mg1 Mg 0.000 0.000 0.000 1
Zr1 Zr 0.014 0.462 0.660 1
Zr2 Zr 0.487 0.655 0.033 1
H1 H 0.160 0.224 0.925 1
H2 H 0.346 0.955 0.678 1
H3 H 0.532 0.396 0.380 1
H4 H 0.563 0.044 0.735 1
H5 H 0.668 0.245 0.395 1
H6 H 0.698 0.328 0.283 1
H7 H 0.767 0.810 0.438 1
H8 H 0.791 0.904 0.329 1
H9 H 0.850 0.220 0.918 1
H10 H 0.925 0.753 0.329 1
S1 S 0.490 0.936 0.145 1
S2 S 0.513 0.383 0.838 1
S3 S 0.523 0.617 0.524 1
S4 S 0.979 0.522 0.183 1
S5 S 0.987 0.749 0.864 1
S6 S 0.997 0.199 0.545 1
O1 O 0.005 0.604 0.282 1
O2 O 0.058 0.675 0.766 1
O3 O 0.138 0.341 0.524 1
O4 O 0.173 0.096 0.565 1
O5 O 0.180 0.732 0.952 1
O6 O 0.226 0.527 0.121 1
O7 O 0.275 0.606 0.583 1
O8 O 0.299 0.022 0.100 1
O9 O 0.327 0.400 0.751 1
O10 O 0.362 0.796 0.165 1
O11 O 0.430 0.470 0.932 1
O12 O 0.469 0.954 0.736 1
O13 O 0.500 0.550 0.418 1
O14 O 0.503 0.240 0.867 1
O15 O 0.576 0.304 0.342 1
O16 O 0.618 0.763 0.525 1
O17 O 0.625 0.003 0.236 1
O18 O 0.681 0.895 0.056 1
O19 O 0.710 0.539 0.588 1
O20 O 0.732 0.691 0.901 1
O21 O 0.776 0.431 0.805 1
O22 O 0.787 0.590 0.113 1
O23 O 0.809 0.156 0.461 1
O24 O 0.857 0.250 0.647 1
O25 O 0.881 0.840 0.372 1
O26 O 0.888 0.378 0.191 1
O27 O 0.980 0.899 0.857 1
O28 O 0.997 0.191 0.958 1
```

***

(4)
Structure and theoretical powder XRD pattern of MgZr2H10S6O28 (a DFT-relaxed cell (PBE, the Materials Project); CuKα).

The 6 most intense peaks (2θ from 10° to 90°), most intense first:
| Position (°2θ) | d_spacing | I/Imax | (hkl) |
| --- | --- | --- | --- |
| 23.1 | 3.852 | 100 | 1 -1 2 |
| 11.5 | 7.683 | 86 | 0 1 -1 |
| 24.2 | 3.671 | 82 | 1 1 -2 |
| 24.9 | 3.578 | 55 | 0 2 2 |
| 18.2 | 4.868 | 34 | 1 0 -1 |
| 34.5 | 2.600 | 25 | -1 1 4 |

Structure:
```
data_MgZr2H10S6O28
_cell_length_a 5.274
_cell_length_b 9.215
_cell_length_c 12.663
_cell_angle_alpha 94.23
_cell_angle_beta 90.35
_cell_angle_gamma 95.77
_space_group_name_H-M_alt 'P 1'
_space_group_IT_number 1
_space_group_name_Hall 'P 1'
loop_
_atom_site_label
_atom_site_type_symbol
_atom_site_fract_x
_atom_site_fract_y
_atom_site_fract_z
_atom_site_occupancy
Mg1 Mg 0.000 0.000 0.000 1
Zr1 Zr 0.021 0.005 0.735 1
Zr2 Zr 0.563 0.776 0.394 1
H1 H 0.059 0.686 0.101 1
H2 H 0.092 0.335 0.487 1
H3 H 0.232 0.626 0.005 1
H4 H 0.233 0.540 0.124 1
H5 H 0.269 0.124 0.184 1
H6 H 0.320 0.229 0.025 1
H7 H 0.454 0.079 0.044 1
H8 H 0.485 0.448 0.655 1
H9 H 0.657 0.502 0.751 1
H10 H 0.898 0.289 0.398 1
S1 S 0.056 0.693 0.565 1
S2 S 0.077 0.288 0.859 1
S3 S 0.082 0.931 0.247 1
S4 S 0.493 0.853 0.897 1
S5 S 0.532 0.092 0.567 1
S6 S 0.544 0.503 0.270 1
O1 O 0.020 0.783 0.667 1
O2 O 0.027 0.540 0.576 1
O3 O 0.028 0.251 0.440 1
O4 O 0.034 0.887 0.132 1
O5 O 0.122 0.596 0.066 1
O6 O 0.199 0.226 0.759 1
O7 O 0.207 0.089 0.257 1
O8 O 0.245 0.927 0.878 1
O9 O 0.259 0.835 0.289 1
O10 O 0.269 0.333 0.943 1
O11 O 0.306 0.749 0.520 1
O12 O 0.308 0.021 0.624 1
O13 O 0.310 0.136 0.066 1
O14 O 0.359 0.459 0.182 1
O15 O 0.404 0.550 0.371 1
O16 O 0.425 0.701 0.915 1
O17 O 0.516 0.530 0.709 1
O18 O 0.521 0.244 0.556 1
O19 O 0.558 0.002 0.467 1
O20 O 0.617 0.936 0.995 1
O21 O 0.666 0.877 0.808 1
O22 O 0.692 0.652 0.252 1
O23 O 0.707 0.390 0.284 1
O24 O 0.759 0.066 0.638 1
O25 O 0.846 0.930 0.307 1
O26 O 0.858 0.738 0.488 1
O27 O 0.902 0.392 0.842 1
O28 O 0.924 0.137 0.887 1
```